Computed powder diffractogram
Compound: Cs2Tl7Cd
Radiation: Cu Kα
Structure: a cell relaxed with GGA-PBE

Main lines, sorted by position (10 to 80 degrees two-theta):
2θ/deg, d_spacing, I_rel
14.7, 6.046, 34
25.5, 3.491, 80
29.5, 3.023, 100
33.1, 2.704, 19
42.3, 2.138, 76
50.0, 1.823, 39
52.4, 1.745, 27
67.5, 1.387, 16
69.5, 1.352, 35
77.3, 1.234, 26

Structural model:
```
data_Cs2Tl7Cd
_chemical_formula_sum 'Cs8 Tl28 Cd4'
_cell_length_a 12.0922
_cell_length_b 12.0922
_cell_length_c 12.0922
_cell_angle_alpha 90.00
_cell_angle_beta 90.00
_cell_angle_gamma 90.00
_space_group_name_H-M_alt 'F m -3 m'
_space_group_IT_number 225
_space_group_name_Hall '-F 4 2 3'
loop_
_atom_site_label
_atom_site_type_symbol
_atom_site_fract_x
_atom_site_fract_y
_atom_site_fract_z
Cs1 Cs 0.2500 0.2500 0.2500
Tl1 Tl 0.0000 0.0000 0.0000
Tl2 Tl 0.0000 0.0000 0.2554
Cd1 Cd 0.0000 0.0000 0.5000
```

***

Computed powder diffractogram
Compound: Cs2Tl4Cd3
Radiation: Cu Kα
Structure: a cell relaxed with GGA-PBE

Main lines, sorted by position (10 to 80 degrees two-theta):
2θ/deg, d_spacing, I_rel
26.4, 3.376, 28
27.4, 3.253, 24
30.6, 2.917, 100
32.8, 2.733, 25
33.1, 2.709, 14
35.2, 2.548, 25
46.9, 1.938, 18
50.5, 1.806, 25
53.1, 1.725, 16
63.8, 1.459, 13

Structural model:
```
data_Cs2Tl4Cd3
_chemical_formula_sum 'Cs8 Tl16 Cd12'
_cell_length_a 6.5051
_cell_length_b 12.2065
_cell_length_c 16.3977
_cell_angle_alpha 90.00
_cell_angle_beta 90.00
_cell_angle_gamma 90.00
_space_group_name_H-M_alt 'F m m m'
_space_group_IT_number 69
_space_group_name_Hall '-F 2 2'
loop_
_atom_site_label
_atom_site_type_symbol
_atom_site_fract_x
_atom_site_fract_y
_atom_site_fract_z
Cs1 Cs 0.0000 0.0000 0.1430
Tl1 Tl 0.0000 0.1771 0.3458
Cd1 Cd 0.0000 0.0000 0.5000
Cd2 Cd 0.2500 0.2500 0.0000
```

***

Computed powder diffractogram
Compound: CsTl9Cd2
Radiation: Cu Kα
Structure: a cell relaxed with GGA-PBE

Main lines, sorted by position (10 to 80 degrees two-theta):
2θ/deg, d_spacing, I_rel
29.4, 3.041, 82
29.8, 2.995, 51
31.4, 2.846, 22
33.7, 2.658, 15
34.2, 2.620, 28
35.0, 2.561, 100
36.4, 2.470, 25
52.7, 1.738, 25
56.4, 1.632, 17
58.3, 1.583, 21

Structural model:
```
data_CsTl9Cd2
_chemical_formula_sum 'Cs4 Tl36 Cd8'
_cell_length_a 13.3940
_cell_length_b 13.3940
_cell_length_c 8.7390
_cell_angle_alpha 90.00
_cell_angle_beta 90.00
_cell_angle_gamma 90.00
_space_group_name_H-M_alt 'I 41/a m d'
_space_group_IT_number 141
loop_
_space_group_symop_operation_xyz
'x,y,z'
'-x,-y,-z'
'-y+1/4,x+3/4,z+1/4'
'y+1/4,-x+3/4,-z+1/4'
'-x+1/2,-y,z+1/2'
'x+1/2,y,-z+1/2'
'y+1/4,-x+1/4,z+3/4'
'-y+1/4,x+1/4,-z+3/4'
'x,-y,-z'
'-x,y,z'
'-y+1/4,-x+1/4,-z+3/4'
'y+1/4,x+1/4,z+3/4'
'-x+1/2,y,-z+1/2'
'x+1/2,-y,z+1/2'
'y+1/4,x+3/4,-z+1/4'
'-y+1/4,-x+3/4,z+1/4'
'x+1/2,y+1/2,z+1/2'
'-x+1/2,-y+1/2,-z+1/2'
'-y+3/4,x+1/4,z+3/4'
'y+3/4,-x+1/4,-z+3/4'
'-x,-y+1/2,z'
'x,y+1/2,-z'
'y+3/4,-x+3/4,z+1/4'
'-y+3/4,x+3/4,-z+1/4'
'x+1/2,-y+1/2,-z+1/2'
'-x+1/2,y+1/2,z+1/2'
'-y+3/4,-x+3/4,-z+1/4'
'y+3/4,x+3/4,z+1/4'
'-x,y+1/2,-z'
'x,-y+1/2,z'
'y+3/4,x+1/4,-z+3/4'
'-y+3/4,-x+1/4,z+3/4'
loop_
_atom_site_label
_atom_site_type_symbol
_atom_site_fract_x
_atom_site_fract_y
_atom_site_fract_z
Cs1 Cs 0.0000 0.2500 0.3750
Tl1 Tl 0.0000 0.2500 0.8750
Tl2 Tl 0.1234 0.0513 0.6773
Cd1 Cd 0.0000 0.0000 0.0000
```

***

Computed powder diffractogram
Compound: CsTl3Cd2
Radiation: Cu Kα
Structure: a cell relaxed with GGA-PBE

Main lines, sorted by position (10 to 80 degrees two-theta):
2θ/deg, d_spacing, I_rel
13.2, 6.703, 37
24.4, 3.646, 28
27.5, 3.244, 100
27.8, 3.211, 25
29.5, 3.027, 28
34.6, 2.593, 62
35.0, 2.563, 35
35.9, 2.503, 58
37.0, 2.432, 40
50.0, 1.823, 27

Structural model:
```
data_CsTl3Cd2
_chemical_formula_sum 'Cs6 Tl18 Cd12'
_cell_length_a 19.9841
_cell_length_b 5.1866
_cell_length_c 12.4928
_cell_angle_alpha 90.00
_cell_angle_beta 105.42
_cell_angle_gamma 90.00
_space_group_name_H-M_alt 'C 1 2/m 1'
_space_group_IT_number 12
loop_
_space_group_symop_operation_xyz
'x,y,z'
'-x,-y,-z'
'-x,y,-z'
'x,-y,z'
'x+1/2,y+1/2,z'
'-x+1/2,-y+1/2,-z'
'-x+1/2,y+1/2,-z'
'x+1/2,-y+1/2,z'
loop_
_atom_site_label
_atom_site_type_symbol
_atom_site_fract_x
_atom_site_fract_y
_atom_site_fract_z
Cs1 Cs 0.0000 0.0000 0.0000
Cs2 Cs 0.1614 0.0000 0.7073
Tl1 Tl 0.0000 0.5000 0.5000
Tl2 Tl 0.0411 0.0000 0.3571
Tl3 Tl 0.1226 0.5000 0.2018
Tl4 Tl 0.1697 0.5000 0.9693
Tl5 Tl 0.2056 0.0000 0.3715
Cd1 Cd 0.0288 0.5000 0.7759
Cd2 Cd 0.1494 0.5000 0.4629
Cd3 Cd 0.1996 0.0000 0.1170
```

***

Computed powder diffractogram
Compound: Cs2TlCd2
Radiation: Cu Kα
Structure: a cell relaxed with GGA-PBE

Main lines, sorted by position (10 to 80 degrees two-theta):
2θ/deg, d_spacing, I_rel
14.0, 6.311, 28
25.2, 3.533, 50
25.5, 3.487, 68
26.7, 3.334, 16
28.3, 3.155, 18
32.8, 2.730, 100
41.8, 2.161, 26
47.4, 1.920, 16
48.6, 1.873, 38
58.5, 1.577, 13

Structural model:
```
data_Cs2TlCd2
_chemical_formula_sum 'Cs4 Tl2 Cd4'
_cell_length_a 5.4651
_cell_length_b 6.5042
_cell_length_c 12.6219
_cell_angle_alpha 90.00
_cell_angle_beta 90.00
_cell_angle_gamma 90.00
_space_group_name_H-M_alt 'I m m m'
_space_group_IT_number 71
_space_group_name_Hall '-I 2 2'
loop_
_atom_site_label
_atom_site_type_symbol
_atom_site_fract_x
_atom_site_fract_y
_atom_site_fract_z
Cs1 Cs 0.0000 0.0000 0.1892
Tl1 Tl 0.0000 0.5000 0.0000
Cd1 Cd 0.0000 0.2427 0.5000
```

***

Computed powder diffractogram
Compound: CsTl3Cd3
Radiation: Cu Kα
Structure: a cell relaxed with GGA-PBE

Main lines, sorted by position (10 to 80 degrees two-theta):
2θ/deg, d_spacing, I_rel
15.0, 5.903, 31
21.3, 4.174, 41
26.1, 3.408, 100
37.3, 2.410, 44
40.4, 2.231, 63
43.4, 2.087, 38
48.8, 1.867, 18
60.8, 1.524, 19
63.0, 1.476, 25
69.4, 1.354, 19

Structural model:
```
data_CsTl3Cd3
_chemical_formula_sum 'Cs2 Tl6 Cd6'
_cell_length_a 8.3478
_cell_length_b 8.3478
_cell_length_c 8.3478
_cell_angle_alpha 90.00
_cell_angle_beta 90.00
_cell_angle_gamma 90.00
_space_group_name_H-M_alt 'P m -3 n'
_space_group_IT_number 223
_space_group_name_Hall '-P 4n 2 3'
loop_
_atom_site_label
_atom_site_type_symbol
_atom_site_fract_x
_atom_site_fract_y
_atom_site_fract_z
Cs1 Cs 0.0000 0.0000 0.0000
Tl1 Tl 0.0000 0.2500 0.5000
Cd1 Cd 0.0000 0.5000 0.2500
```

***

Computed powder diffractogram
Compound: Cs2TlCd
Radiation: Cu Kα
Structure: a cell relaxed with GGA-PBE

Main lines, sorted by position (10 to 80 degrees two-theta):
2θ/deg, d_spacing, I_rel
14.3, 6.200, 31
24.5, 3.631, 25
25.6, 3.482, 100
25.8, 3.457, 29
30.8, 2.900, 47
34.0, 2.635, 21
42.9, 2.109, 18
43.2, 2.094, 17
43.8, 2.066, 22
43.9, 2.061, 15

Structural model:
```
data_Cs2TlCd
_chemical_formula_sum 'Cs4 Tl2 Cd2'
_cell_length_a 12.9839
_cell_length_b 7.2620
_cell_length_c 5.2704
_cell_angle_alpha 90.00
_cell_angle_beta 113.49
_cell_angle_gamma 90.00
_space_group_name_H-M_alt 'C 1 2 1'
_space_group_IT_number 5
loop_
_space_group_symop_operation_xyz
'x,y,z'
'-x,y,-z'
'x+1/2,y+1/2,z'
'-x+1/2,y+1/2,-z'
loop_
_atom_site_label
_atom_site_type_symbol
_atom_site_fract_x
_atom_site_fract_y
_atom_site_fract_z
Cs1 Cs 0.1836 0.0000 0.1844
Tl1 Tl 0.0000 0.4869 0.0000
Cd1 Cd 0.0000 0.6614 0.5000
```

***

Computed powder diffractogram
Compound: CsTmCd17
Radiation: Cu Kα
Structure: a cell relaxed with GGA-PBE

Main lines, sorted by position (10 to 80 degrees two-theta):
2θ/deg, d_spacing, I_rel
30.0, 2.976, 35
30.8, 2.900, 25
34.8, 2.578, 42
34.9, 2.569, 100
35.3, 2.543, 26
35.6, 2.519, 35
39.2, 2.299, 37
62.4, 1.488, 12
62.9, 1.477, 14
63.1, 1.473, 16

Structural model:
```
data_CsTmCd17
_chemical_formula_sum 'Cs3 Tm3 Cd51'
_cell_length_a 10.3106
_cell_length_b 10.3106
_cell_length_c 15.2567
_cell_angle_alpha 90.00
_cell_angle_beta 90.00
_cell_angle_gamma 120.00
_space_group_name_H-M_alt 'R 3 m'
_space_group_IT_number 160
_space_group_name_Hall 'R 3 -2"'
loop_
_atom_site_label
_atom_site_type_symbol
_atom_site_fract_x
_atom_site_fract_y
_atom_site_fract_z
Cs1 Cs 0.0000 0.0000 0.0000
Tm1 Tm 0.0000 0.0000 0.6638
Cd1 Cd 0.0000 0.0000 0.2489
Cd2 Cd 0.0000 0.0000 0.4466
Cd3 Cd 0.0042 0.2960 0.3368
Cd4 Cd 0.0217 0.5108 0.1968
Cd5 Cd 0.0262 0.5131 0.8320
Cd6 Cd 0.0558 0.5279 0.4794
```

***

Computed powder diffractogram
Compound: Cd15Cu
Radiation: Cu Kα
Structure: a cell relaxed with GGA-PBE

Main lines, sorted by position (10 to 80 degrees two-theta):
2θ/deg, d_spacing, I_rel
33.5, 2.674, 30
33.9, 2.647, 23
37.9, 2.372, 100
48.4, 1.881, 16
60.6, 1.528, 16
62.9, 1.479, 20
70.4, 1.337, 3
71.0, 1.327, 19
71.2, 1.324, 3
73.7, 1.285, 13

Structural model:
```
data_Cd15Cu
_chemical_formula_sum 'Cd15 Cu1'
_cell_length_a 6.1137
_cell_length_b 6.1137
_cell_length_c 10.6943
_cell_angle_alpha 90.00
_cell_angle_beta 90.00
_cell_angle_gamma 120.00
_space_group_name_H-M_alt 'P -6 m 2'
_space_group_IT_number 187
_space_group_name_Hall 'P -6 2'
loop_
_atom_site_label
_atom_site_type_symbol
_atom_site_fract_x
_atom_site_fract_y
_atom_site_fract_z
Cd1 Cd 0.0000 0.0000 0.0000
Cd2 Cd 0.0037 0.5019 0.5000
Cd3 Cd 0.3287 0.1644 0.2626
Cd4 Cd 0.3333 0.6667 0.2437
Cd5 Cd 0.5020 0.0039 0.0000
Cu1 Cu 0.0000 0.0000 0.5000
```

***

Computed powder diffractogram
Compound: CdCu
Radiation: Cu Kα
Structure: a cell relaxed with GGA-PBE

Main lines, sorted by position (10 to 80 degrees two-theta):
2θ/deg, d_spacing, I_rel
26.7, 3.343, 29
38.1, 2.365, 64
38.3, 2.350, 70
40.0, 2.256, 37
40.2, 2.242, 100
40.7, 2.218, 34
41.6, 2.172, 56
59.0, 1.564, 22
59.6, 1.552, 21
79.2, 1.210, 15

Structural model:
```
data_CdCu
_chemical_formula_sum 'Cd2 Cu2'
_cell_length_a 2.9138
_cell_length_b 4.3433
_cell_length_c 5.4100
_cell_angle_alpha 90.00
_cell_angle_beta 104.63
_cell_angle_gamma 90.00
_space_group_name_H-M_alt 'P 1 21/m 1'
_space_group_IT_number 11
loop_
_space_group_symop_operation_xyz
'x,y,z'
'-x,-y,-z'
'-x,y+1/2,-z'
'x,-y+1/2,z'
loop_
_atom_site_label
_atom_site_type_symbol
_atom_site_fract_x
_atom_site_fract_y
_atom_site_fract_z
Cd1 Cd 0.1594 0.2500 0.3291
Cu1 Cu 0.4398 0.2500 0.8727
```

***

Computed powder diffractogram
Compound: CdCu6
Radiation: Cu Kα
Structure: a cell relaxed with GGA-PBE

Main lines, sorted by position (10 to 80 degrees two-theta):
2θ/deg, d_spacing, I_rel
36.8, 2.443, 33
38.2, 2.355, 68
39.7, 2.270, 100
40.1, 2.250, 75
43.5, 2.082, 32
44.5, 2.037, 33
46.5, 1.952, 34
47.2, 1.927, 30
47.5, 1.916, 30
47.8, 1.904, 43

Structural model:
```
data_CdCu6
_chemical_formula_sum 'Cd4 Cu24'
_cell_length_a 7.9641
_cell_length_b 4.8861
_cell_length_c 9.8629
_cell_angle_alpha 90.00
_cell_angle_beta 90.00
_cell_angle_gamma 90.00
_space_group_name_H-M_alt 'P n m a'
_space_group_IT_number 62
loop_
_space_group_symop_operation_xyz
'x,y,z'
'-x,-y,-z'
'-x+1/2,-y,z+1/2'
'x+1/2,y,-z+1/2'
'x+1/2,-y+1/2,-z+1/2'
'-x+1/2,y+1/2,z+1/2'
'-x,y+1/2,-z'
'x,-y+1/2,z'
loop_
_atom_site_label
_atom_site_type_symbol
_atom_site_fract_x
_atom_site_fract_y
_atom_site_fract_z
Cd1 Cd 0.2401 0.2500 0.0644
Cu1 Cu 0.0588 0.0069 0.3055
Cu2 Cu 0.0620 0.7500 0.0824
Cu3 Cu 0.1081 0.2500 0.5207
Cu4 Cu 0.1545 0.7500 0.8460
Cu5 Cu 0.1887 0.2500 0.7665
```

***

Computed powder diffractogram
Compound: Cd5Cu
Radiation: Cu Kα
Structure: a cell relaxed with GGA-PBE

Main lines, sorted by position (10 to 80 degrees two-theta):
2θ/deg, d_spacing, I_rel
30.3, 2.949, 100
37.1, 2.421, 19
37.7, 2.388, 54
38.3, 2.348, 97
41.7, 2.165, 76
42.2, 2.141, 49
64.1, 1.452, 24
67.0, 1.396, 28
67.3, 1.391, 33
79.9, 1.201, 14

Structural model:
```
data_Cd5Cu
_chemical_formula_sum 'Cd20 Cu4'
_cell_length_a 6.8463
_cell_length_b 6.8463
_cell_length_c 10.9799
_cell_angle_alpha 90.00
_cell_angle_beta 90.00
_cell_angle_gamma 90.00
_space_group_name_H-M_alt 'I 4/m c m'
_space_group_IT_number 140
_space_group_name_Hall '-I 4 2c'
loop_
_atom_site_label
_atom_site_type_symbol
_atom_site_fract_x
_atom_site_fract_y
_atom_site_fract_z
Cd1 Cd 0.0000 0.0000 0.0000
Cd2 Cd 0.1573 0.3427 0.1394
Cu1 Cu 0.0000 0.0000 0.2500
```

***

Computed powder diffractogram
Compound: Cd2Cu
Radiation: Cu Kα
Structure: a cell relaxed with GGA-PBE

Main lines, sorted by position (10 to 80 degrees two-theta):
2θ/deg, d_spacing, I_rel
32.4, 2.764, 18
34.5, 2.597, 24
34.9, 2.574, 17
36.2, 2.484, 45
36.9, 2.435, 57
37.9, 2.376, 100
41.6, 2.169, 90
46.3, 1.961, 15
57.5, 1.603, 17
62.2, 1.493, 13

Structural model:
```
data_Cd2Cu
_chemical_formula_sum 'Cd8 Cu4'
_cell_length_a 10.3246
_cell_length_b 2.9862
_cell_length_c 7.8447
_cell_angle_alpha 90.00
_cell_angle_beta 113.49
_cell_angle_gamma 90.00
_space_group_name_H-M_alt 'C 1 2/m 1'
_space_group_IT_number 12
loop_
_space_group_symop_operation_xyz
'x,y,z'
'-x,-y,-z'
'-x,y,-z'
'x,-y,z'
'x+1/2,y+1/2,z'
'-x+1/2,-y+1/2,-z'
'-x+1/2,y+1/2,-z'
'x+1/2,-y+1/2,z'
loop_
_atom_site_label
_atom_site_type_symbol
_atom_site_fract_x
_atom_site_fract_y
_atom_site_fract_z
Cd1 Cd 0.0078 0.0000 0.2014
Cd2 Cd 0.1626 0.5000 0.5972
Cu1 Cu 0.1954 0.5000 0.0839
```